(1)
Computed X-ray diffraction stick pattern
Compound: Ce2Np3N8
Radiation: Cu Kα X-rays
Structure: a PBE-relaxed structure

Principal peaks in the range 10 to 90 degrees two-theta, low angle first:
2theta, intensity
14.87, 74.4
26.53, 27.9
27.72, 30.8
28.67, 35.9
29.99, 38.6
31.31, 63.5
32.00, 86.2
32.48, 100.0
49.37, 54.4
55.84, 31.5
57.29, 25.9
61.96, 24.7

Atomic structure:
a b c (Å): 6.4402 3.6525 9.0562
angles (deg): 90.00 108.83 90.00
Sites, in units of the cell vectors:
Ce: 0.2491 0.0000 0.3136
Ce: 0.7509 0.0000 0.6864
Np: 0.2437 0.5000 0.6661
Np: 0.5000 0.0000 0.0000
Np: 0.7563 0.5000 0.3339
N: 0.1056 0.5000 0.3931
N: 0.2024 0.0000 0.8193
N: 0.3672 0.0000 0.5844
N: 0.4427 0.5000 0.1526
N: 0.5573 0.5000 0.8474
N: 0.6328 0.0000 0.4156
N: 0.7976 0.0000 0.1807
N: 0.8944 0.5000 0.6069

(2)
Computed X-ray diffraction stick pattern
Compound: Tb3SnI7
Radiation: Cu Kα X-rays
Structure: a PBE-relaxed structure

Principal peaks in the range 10 to 90 degrees two-theta, low angle first:
2theta, intensity
11.57, 10.9
12.26, 26.0
26.37, 100.0
34.15, 50.0
40.86, 34.7
44.48, 26.2
49.28, 19.2
54.28, 13.1
65.88, 15.4
66.96, 15.3
70.11, 12.0
76.93, 10.1

Atomic structure:
a b c (Å): 8.8350 8.8350 7.2182
angles (deg): 90.00 90.00 120.00
Sites, in units of the cell vectors:
Tb: 0.0065 0.5033 0.0000
Tb: 0.4967 0.5033 0.0000
Tb: 0.4967 0.9935 0.0000
Sn: 0.3333 0.6667 0.2598
I: 0.1723 0.3446 0.7500
I: 0.1723 0.8277 0.7500
I: 0.3387 0.1693 0.2325
I: 0.6554 0.8277 0.7500
I: 0.6667 0.3333 0.7477
I: 0.8307 0.1693 0.2325
I: 0.8307 0.6613 0.2325

(3)
Computed X-ray diffraction stick pattern
Compound: Ac2Ga5Ru3
Radiation: Cu Kα X-rays
Structure: a PBE-relaxed structure

Principal peaks in the range 10 to 90 degrees two-theta, low angle first:
2theta, intensity
21.89, 19.6
28.07, 18.9
29.29, 17.0
32.64, 100.0
32.92, 68.7
33.99, 69.5
41.02, 76.1
47.91, 37.1
52.64, 27.1
54.11, 23.6
64.21, 15.5
68.98, 18.0

Atomic structure:
a b c (Å): 8.6589 8.6589 8.6589
angles (deg): 105.15 90.47 136.92
Sites, in units of the cell vectors:
Ac: 0.1282 0.2366 0.3649
Ac: 0.3718 0.7366 0.1084
Ac: 0.6282 0.2634 0.8916
Ac: 0.8718 0.7634 0.6351
Ga: 0.0127 0.7500 0.2627
Ga: 0.1190 0.8738 0.9928
Ga: 0.2500 0.7500 0.5000
Ga: 0.3810 0.3738 0.7549
Ga: 0.4873 0.7500 0.7373
Ga: 0.5127 0.2500 0.2627
Ga: 0.6190 0.6262 0.2451
Ga: 0.7500 0.2500 0.5000
Ga: 0.8810 0.1262 0.0072
Ga: 0.9873 0.2500 0.7373
Ru: 0.1177 0.6311 0.7488
Ru: 0.2500 0.2500 0.0000
Ru: 0.3823 0.1311 0.5134
Ru: 0.6177 0.8689 0.4866
Ru: 0.7500 0.7500 0.0000
Ru: 0.8823 0.3689 0.2512

(4)
Computed X-ray diffraction stick pattern
Compound: Nb5Ni
Radiation: Cu Kα X-rays
Structure: a PBE-relaxed structure

Principal peaks in the range 10 to 90 degrees two-theta, low angle first:
2theta, intensity
39.00, 100.0
39.19, 24.7
40.25, 22.6
55.22, 8.9
57.44, 15.4
69.79, 8.5
70.51, 8.2
70.90, 16.2
72.33, 14.9
83.76, 10.1
84.25, 2.5
86.97, 2.2

Atomic structure:
a b c (Å): 7.1036 7.1036 3.3270
angles (deg): 90.00 90.00 142.24
Sites, in units of the cell vectors:
Nb: 0.0000 0.0000 0.0000
Nb: 0.1634 0.8366 0.5000
Nb: 0.3373 0.6627 0.0000
Nb: 0.6627 0.3373 0.0000
Nb: 0.8366 0.1634 0.5000
Ni: 0.5000 0.5000 0.5000

(5)
Computed X-ray diffraction stick pattern
Compound: NdCu10Pt2
Radiation: Cu Kα X-rays
Structure: a PBE-relaxed structure

Principal peaks in the range 10 to 90 degrees two-theta, low angle first:
2theta, intensity
14.53, 28.9
14.99, 19.9
20.93, 32.4
33.70, 23.9
36.06, 25.7
40.39, 100.0
41.53, 27.8
42.60, 88.6
45.59, 29.6
46.24, 28.8
60.72, 20.0
76.49, 27.0

Atomic structure:
a b c (Å): 8.4917 6.6393 6.4674
angles (deg): 80.75 50.51 48.74
Sites, in units of the cell vectors:
Nd: 0.0000 0.0000 0.0000
Cu: 0.0000 0.5000 0.0000
Cu: 0.0034 0.3537 0.6463
Cu: 0.2736 0.4911 0.5089
Cu: 0.3537 0.0034 0.9966
Cu: 0.4911 0.2736 0.7264
Cu: 0.5000 0.0000 0.5000
Cu: 0.5089 0.7264 0.2736
Cu: 0.6463 0.9966 0.0034
Cu: 0.7264 0.5089 0.4911
Cu: 0.9966 0.6463 0.3537
Pt: 0.0000 0.0000 0.5000
Pt: 0.5000 0.5000 0.0000

> Which formula does entry 2 have?

Tb3SnI7